[1]
Theoretical X-ray diffraction stick pattern
Compound: CaLa4Se6
Radiation: a wavelength of 1.5418 Å
Structure: a DFT-relaxed cell (GGA-PBE, Alexandria)
Kinematic intensities with the Lorentz-polarization factor, no thermal factor.

The 10 most intense peaks (2θ from 15° to 90°), by intensity:
Position (°2θ), I (rel.)
35.18, 100
31.62, 94
25.73, 73
33.62, 59
30.04, 43
39.74, 42
45.50, 34
63.96, 32
23.62, 28
68.21, 27

Atomic structure:
```
CaLa4Se6
1.0
6.0053 3.4671 4.8347
-6.0053 3.4671 4.8347
0.0000 -6.9343 4.8347
Ca La Se
2 8 12
direct
0.0000 0.0000 0.0000 Ca
0.5000 0.5000 0.5000 Ca
0.1348 0.7500 0.3652 La
0.2500 0.2500 0.2500 La
0.2500 0.6348 0.8652 La
0.3652 0.1348 0.7500 La
0.6348 0.8652 0.2500 La
0.7500 0.3652 0.1348 La
0.7500 0.7500 0.7500 La
0.8652 0.2500 0.6348 La
0.0609 0.9152 0.6826 Se
0.0848 0.3174 0.9391 Se
0.1826 0.4152 0.5609 Se
0.3174 0.9391 0.0848 Se
0.4152 0.5609 0.1826 Se
0.4391 0.8174 0.5848 Se
0.5609 0.1826 0.4152 Se
0.5848 0.4391 0.8174 Se
0.6826 0.0609 0.9152 Se
0.8174 0.5848 0.4391 Se
0.9152 0.6826 0.0609 Se
0.9391 0.0848 0.3174 Se
```

=====

[2]
Theoretical X-ray diffraction stick pattern
Compound: CaLa8Se12
Radiation: a wavelength of 1.5418 Å
Structure: a DFT-relaxed cell (GGA-PBE, Alexandria)
Kinematic intensities with the Lorentz-polarization factor, no thermal factor.

The 10 most intense peaks (2θ from 15° to 90°), by intensity:
Position (°2θ), I (rel.)
31.12, 100
37.02, 67
63.07, 29
44.59, 21
23.99, 20
51.26, 18
77.12, 15
46.90, 15
66.71, 14
49.12, 12

Atomic structure:
```
CaLa8Se12
1.0
6.4272 -6.4294 0.0000
6.4272 6.4294 0.0000
-6.4252 0.0000 13.6180
Ca La Se
2 16 24
direct
0.1880 0.8120 0.5000 Ca
0.8120 0.1880 0.0000 Ca
0.0204 0.8976 0.1669 La
0.1423 0.8984 0.9177 La
0.1466 0.5252 0.6665 La
0.2247 0.4785 0.0828 La
0.2296 0.3587 0.3338 La
0.3587 0.2296 0.8338 La
0.4785 0.2247 0.5828 La
0.4787 0.8547 0.3341 La
0.5252 0.1466 0.1665 La
0.5624 0.8129 0.7505 La
0.5635 0.6884 0.0008 La
0.6884 0.5635 0.5008 La
0.8129 0.5624 0.2505 La
0.8547 0.4787 0.8341 La
0.8976 0.0204 0.6669 La
0.8984 0.1423 0.4177 La
0.0583 0.2057 0.8831 Se
0.1533 0.6585 0.2845 Se
0.1708 0.1759 0.6183 Se
0.1759 0.1708 0.1183 Se
0.2040 0.5567 0.8834 Se
0.2057 0.0583 0.3831 Se
0.2220 0.8733 0.7145 Se
0.3204 0.8191 0.1166 Se
0.3901 0.5346 0.5515 Se
0.4831 0.9871 0.9497 Se
0.5043 0.5045 0.2844 Se
0.5045 0.5043 0.7844 Se
0.5346 0.3901 0.0515 Se
0.5351 0.8844 0.5492 Se
0.5567 0.2040 0.3834 Se
0.6585 0.1533 0.7845 Se
0.7208 0.8728 0.2181 Se
0.8191 0.3204 0.6166 Se
0.8345 0.8410 0.9512 Se
0.8410 0.8345 0.4512 Se
0.8733 0.2220 0.2145 Se
0.8728 0.7208 0.7181 Se
0.8844 0.5351 0.0492 Se
0.9871 0.4831 0.4497 Se
```